Record 1
The following is a computed PXRD pattern of Er5Si3B. It was derived from a cell relaxed with GGA-PBE, using Cu Kα, 1.54184 Å.
Intensities are scaled so that the largest is 100.

Atomic structure:
```
data_Er5Si3B
_chemical_formula_sum 'Er10 Si6 B2'
_symmetry_space_group_name_H-M 'P 63/m c m'
_symmetry_Int_Tables_number 193
_symmetry_space_group_name_Hall '-P 6c 2'
_cell_length_a 8.4557
_cell_length_b 8.4557
_cell_length_c 6.2628
_cell_angle_alpha 90.00
_cell_angle_beta 90.00
_cell_angle_gamma 120.00
loop_
_atom_site_label
_atom_site_type_symbol
_atom_site_fract_x
_atom_site_fract_y
_atom_site_fract_z
Er1 Er 0.0000 0.2404 0.2500
Er2 Er 0.3333 0.6667 0.0000
Si1 Si 0.0000 0.3986 0.7500
B1 B 0.0000 0.0000 0.0000
```

Principal peaks in the range 2θ = 10–80°, most intense first:
Position (°2θ)  d/Å  I/Imax  (hkl)
35.46  2.532  100.0  2 1 1
35.68  2.516  89.9  1 1 2
32.35  2.768  51.6  2 1 0
31.06  2.879  50.4  1 0 2
25.42  3.504  48.2  1 1 1
36.82  2.441  36.9  3 0 0

***

Record 2
The following is a computed PXRD pattern of Er4TaV7B24. It was derived from a cell relaxed with GGA-PBE, using Cu Kα, 1.54184 Å.
Intensities are scaled so that the largest is 100.

Atomic structure:
```
data_Er4TaV7B24
_chemical_formula_sum 'Er4 Ta1 V7 B24'
_symmetry_space_group_name_H-M 'P 1 m 1'
_symmetry_Int_Tables_number 6
_symmetry_space_group_name_Hall 'P -2y'
_cell_length_a 8.898
_cell_length_b 3.333
_cell_length_c 11.240
_cell_angle_alpha 90.00
_cell_angle_beta 90.02
_cell_angle_gamma 90.00
loop_
_atom_site_label
_atom_site_type_symbol
_atom_site_fract_x
_atom_site_fract_y
_atom_site_fract_z
Er1 Er 0.000 0.000 0.000
Er2 Er 0.142 0.000 0.498
Er3 Er 0.501 0.000 0.329
Er4 Er 0.643 0.000 0.829
Ta1 Ta 0.267 0.000 0.786
V1 V 0.176 0.000 0.230
V2 V 0.376 0.000 0.043
V3 V 0.469 0.000 0.597
V4 V 0.676 0.000 0.099
V5 V 0.767 0.000 0.543
V6 V 0.876 0.000 0.285
V7 V 0.964 0.000 0.729
B1 B 0.021 0.500 0.178
B2 B 0.061 0.500 0.332
B3 B 0.077 0.500 0.833
B4 B 0.119 0.500 0.677
B5 B 0.194 0.500 0.094
B6 B 0.226 0.500 0.942
B7 B 0.267 0.500 0.347
B8 B 0.303 0.500 0.628
B9 B 0.341 0.500 0.199
B10 B 0.377 0.500 0.480
B11 B 0.419 0.500 0.891
B12 B 0.453 0.500 0.734
B13 B 0.521 0.500 0.151
B14 B 0.562 0.500 0.997
B15 B 0.582 0.500 0.496
B16 B 0.623 0.500 0.650
B17 B 0.695 0.500 0.235
B18 B 0.727 0.500 0.389
B19 B 0.766 0.500 0.981
B20 B 0.802 0.500 0.698
B21 B 0.841 0.500 0.130
B22 B 0.875 0.500 0.847
B23 B 0.916 0.500 0.439
B24 B 0.948 0.500 0.593
```

Principal peaks in the range 2θ = 10–80°, most intense first:
Position (°2θ)  d/Å  I/Imax  (hkl)
41.55  2.173  100.0  3 1 -1
31.20  2.867  90.1  3 0 -1
26.75  3.333  63.6  0 1 0
43.33  2.088  37.6  1 1 -4
33.44  2.680  30.4  1 0 -4
18.68  4.751  26.8  1 0 -2

***

Record 3
The following is a computed PXRD pattern of ErVB4. It was derived from a cell relaxed with GGA-PBE, using Cu Kα, 1.54184 Å.
Intensities are scaled so that the largest is 100.

Atomic structure:
```
data_ErVB4
_chemical_formula_sum 'Er4 V4 B16'
_symmetry_space_group_name_H-M 'P b a m'
_symmetry_Int_Tables_number 55
_symmetry_space_group_name_Hall '-P 2 2ab'
_cell_length_a 5.992
_cell_length_b 11.593
_cell_length_c 3.413
_cell_angle_alpha 90.00
_cell_angle_beta 90.00
_cell_angle_gamma 90.00
loop_
_atom_site_label
_atom_site_type_symbol
_atom_site_fract_x
_atom_site_fract_y
_atom_site_fract_z
Er1 Er 0.124 0.151 0.000
V1 V 0.128 0.417 0.000
B1 B 0.023 0.693 0.500
B2 B 0.115 0.548 0.500
B3 B 0.135 0.968 0.500
B4 B 0.213 0.814 0.500
```

Principal peaks in the range 2θ = 10–80°, most intense first:
Position (°2θ)  d/Å  I/Imax  (hkl)
40.84  2.210  100.0  2 1 1
30.83  2.900  85.0  2 1 0
26.11  3.413  63.3  0 0 1
38.26  2.353  40.1  1 3 1
27.46  3.248  38.5  1 3 0
21.33  4.166  33.2  1 2 0

***

Record 4
The following is a computed PXRD pattern of ErB4W. It was derived from a cell relaxed with GGA-PBE, using Cu Kα, 1.54184 Å.
Intensities are scaled so that the largest is 100.

Atomic structure:
```
data_ErB4W
_chemical_formula_sum 'Er4 B16 W4'
_symmetry_space_group_name_H-M 'P b a m'
_symmetry_Int_Tables_number 55
_symmetry_space_group_name_Hall '-P 2 2ab'
_cell_length_a 6.019
_cell_length_b 11.629
_cell_length_c 3.611
_cell_angle_alpha 90.00
_cell_angle_beta 90.00
_cell_angle_gamma 90.00
loop_
_atom_site_label
_atom_site_type_symbol
_atom_site_fract_x
_atom_site_fract_y
_atom_site_fract_z
Er1 Er 0.126 0.149 0.000
B1 B 0.025 0.694 0.500
B2 B 0.115 0.548 0.500
B3 B 0.133 0.968 0.500
B4 B 0.213 0.813 0.500
W1 W 0.131 0.415 0.000
```

Principal peaks in the range 2θ = 10–80°, most intense first:
Position (°2θ)  d/Å  I/Imax  (hkl)
39.77  2.267  100.0  0 4 1
24.65  3.611  98.8  0 0 1
30.71  2.911  84.3  0 4 0
45.69  1.986  47.0  2 3 1
37.85  2.377  34.9  2 3 0
42.66  2.120  34.3  1 4 1

***

Record 5
The following is a computed PXRD pattern of Eu2GeB2O8. It was derived from a cell relaxed with GGA-PBE, using Cu Kα, 1.54184 Å.
Intensities are scaled so that the largest is 100.

Atomic structure:
```
data_Eu2GeB2O8
_chemical_formula_sum 'Eu8 Ge4 B8 O32'
_symmetry_space_group_name_H-M 'P b c n'
_symmetry_Int_Tables_number 60
_symmetry_space_group_name_Hall '-P 2n 2ab'
_cell_length_a 13.708
_cell_length_b 4.503
_cell_length_c 9.623
_cell_angle_alpha 90.00
_cell_angle_beta 90.00
_cell_angle_gamma 90.00
loop_
_atom_site_label
_atom_site_type_symbol
_atom_site_fract_x
_atom_site_fract_y
_atom_site_fract_z
Eu1 Eu 0.140 0.035 0.029
Ge1 Ge 0.000 0.420 0.750
B1 B 0.201 0.467 0.295
O1 O 0.005 0.205 0.901
O2 O 0.107 0.348 0.235
O3 O 0.194 0.461 0.446
O4 O 0.218 0.225 0.741
```

Principal peaks in the range 2θ = 10–80°, most intense first:
Position (°2θ)  d/Å  I/Imax  (hkl)
27.87  3.201  100.0  3 1 0
32.07  2.791  36.1  4 0 2
54.54  1.682  18.7  7 1 2
33.58  2.669  17.2  3 1 2
18.44  4.811  16.3  0 0 2
47.23  1.925  14.8  3 1 4

***

Record 6
The following is a computed PXRD pattern of EuB2H8. It was derived from a cell relaxed with GGA-PBE, using Cu Kα, 1.54184 Å.
Intensities are scaled so that the largest is 100.

Atomic structure:
```
data_EuB2H8
_chemical_formula_sum 'Eu4 B8 H32'
_symmetry_space_group_name_H-M 'P b c n'
_symmetry_Int_Tables_number 60
_symmetry_space_group_name_Hall '-P 2n 2ab'
_cell_length_a 6.964
_cell_length_b 8.418
_cell_length_c 7.305
_cell_angle_alpha 90.00
_cell_angle_beta 90.00
_cell_angle_gamma 90.00
loop_
_atom_site_label
_atom_site_type_symbol
_atom_site_fract_x
_atom_site_fract_y
_atom_site_fract_z
Eu1 Eu 0.000 0.125 0.250
B1 B 0.236 0.109 0.564
H1 H 0.073 0.155 0.605
H2 H 0.162 0.392 0.200
H3 H 0.199 0.305 0.943
H4 H 0.229 0.027 0.003
```

Principal peaks in the range 2θ = 10–80°, most intense first:
Position (°2θ)  d/Å  I/Imax  (hkl)
20.54  4.324  100.0  1 1 1
16.52  5.366  86.9  1 1 0
35.64  2.519  86.6  2 0 2
24.40  3.649  84.4  0 2 1
29.59  3.019  40.1  1 1 2
42.93  2.107  27.3  0 4 0

***

Record 7
The following is a computed PXRD pattern of EuB2H8. It was derived from a cell relaxed with GGA-PBE, using Cu Kα, 1.54184 Å.
Intensities are scaled so that the largest is 100.

Atomic structure:
```
data_EuB2H8
_chemical_formula_sum 'Eu4 B8 H32'
_symmetry_space_group_name_H-M 'P b c n'
_symmetry_Int_Tables_number 60
_symmetry_space_group_name_Hall '-P 2n 2ab'
_cell_length_a 6.980
_cell_length_b 8.213
_cell_length_c 7.485
_cell_angle_alpha 90.00
_cell_angle_beta 90.00
_cell_angle_gamma 90.00
loop_
_atom_site_label
_atom_site_type_symbol
_atom_site_fract_x
_atom_site_fract_y
_atom_site_fract_z
Eu1 Eu 0.000 0.175 0.250
B1 B 0.245 0.382 0.074
H1 H 0.138 0.322 0.961
H2 H 0.141 0.026 0.500
H3 H 0.149 0.463 0.178
H4 H 0.167 0.225 0.653
```

Principal peaks in the range 2θ = 10–80°, most intense first:
Position (°2θ)  d/Å  I/Imax  (hkl)
20.48  4.336  100.0  1 1 1
35.18  2.551  34.9  2 0 2
35.83  2.506  23.5  2 2 1
24.73  3.600  22.6  0 2 1
16.67  5.319  20.5  1 1 0
42.93  2.107  19.6  1 3 2

***

Record 8
The following is a computed PXRD pattern of EuB2H8. It was derived from a cell relaxed with GGA-PBE, using Cu Kα, 1.54184 Å.
Intensities are scaled so that the largest is 100.

Atomic structure:
```
data_EuB2H8
_chemical_formula_sum 'Eu4 B8 H32'
_symmetry_space_group_name_H-M 'P 1 21/c 1'
_symmetry_Int_Tables_number 14
_symmetry_space_group_name_Hall '-P 2ybc'
_cell_length_a 7.503
_cell_length_b 7.431
_cell_length_c 8.140
_cell_angle_alpha 90.00
_cell_angle_beta 91.96
_cell_angle_gamma 90.00
loop_
_atom_site_label
_atom_site_type_symbol
_atom_site_fract_x
_atom_site_fract_y
_atom_site_fract_z
Eu1 Eu 0.239 0.071 0.364
B1 B 0.004 0.234 0.608
B2 B 0.484 0.211 0.682
H1 H 0.038 0.708 0.258
H2 H 0.066 0.081 0.630
H3 H 0.117 0.169 0.046
H4 H 0.130 0.731 0.982
H5 H 0.361 0.140 0.753
H6 H 0.378 0.695 0.734
H7 H 0.460 0.130 0.152
H8 H 0.497 0.636 0.952
```

Principal peaks in the range 2θ = 10–80°, most intense first:
Position (°2θ)  d/Å  I/Imax  (hkl)
16.15  5.487  100.0  0 1 1
20.27  4.380  80.6  1 1 1
19.83  4.477  66.0  1 1 -1
25.26  3.525  49.8  1 0 2
16.80  5.278  47.0  1 1 0
24.54  3.628  42.1  1 0 -2